1.
Simulated powder diffraction line list
Compound: BiMo6Se8
Radiation: copper Kα
Structure: a structure optimized by DFT (GGA-PBE)

Crystal structure
Unit cell a=6.8408 b=6.8408 c=6.8408 alpha=89.61 beta=89.61 gamma=89.61
Fractional coordinates of all 15 atoms:
Bi1 0.0000 0.0000 0.0000
Mo1 0.2362 0.5592 0.4216
Mo2 0.4216 0.2362 0.5592
Mo3 0.4408 0.5784 0.7638
Mo4 0.5592 0.4216 0.2362
Mo5 0.5784 0.7638 0.4408
Mo6 0.7638 0.4408 0.5784
Se1 0.1224 0.3753 0.7477
Se2 0.2398 0.2398 0.2398
Se3 0.2523 0.8776 0.6247
Se4 0.3753 0.7477 0.1224
Se5 0.6247 0.2523 0.8776
Se6 0.7477 0.1224 0.3753
Se7 0.7602 0.7602 0.7602
Se8 0.8776 0.6247 0.2523

Main lines, by angle (2θ from 10° to 90°):
| two_theta | I_rel |
| --- | --- |
| 18.28 | 46 |
| 18.40 | 47 |
| 29.11 | 44 |
| 29.27 | 53 |
| 32.13 | 89 |
| 39.27 | 46 |
| 39.65 | 79 |
| 41.67 | 59 |
| 43.93 | 100 |
| 57.15 | 44 |



2.
Simulated powder diffraction line list
Compound: Dy2ZnNi7
Radiation: copper Kα
Structure: a structure optimized by DFT (GGA-PBE)

Crystal structure
Unit cell a=3.7737 b=3.7737 c=10.4588 alpha=90.00 beta=90.00 gamma=90.00
Fractional coordinates of all 10 atoms:
Dy1 0.0000 0.5000 0.2368
Dy2 0.5000 0.0000 0.7632
Zn1 0.0000 0.0000 0.5000
Ni1 0.0000 0.0000 0.0000
Ni2 0.0000 0.5000 0.6447
Ni3 0.0000 0.5000 0.8617
Ni4 0.5000 0.0000 0.1383
Ni5 0.5000 0.0000 0.3553
Ni6 0.5000 0.5000 0.0000
Ni7 0.5000 0.5000 0.5000

Main lines, by angle (2θ from 10° to 90°):
| two_theta | I_rel |
| --- | --- |
| 25.09 | 9 |
| 33.59 | 17 |
| 35.04 | 56 |
| 37.85 | 100 |
| 48.23 | 44 |
| 49.84 | 33 |
| 61.00 | 22 |
| 70.59 | 13 |
| 71.88 | 21 |
| 83.00 | 19 |



3.
Simulated powder diffraction line list
Compound: KAs2PbO8
Radiation: copper Kα
Structure: a structure optimized by DFT (GGA-PBE)

Crystal structure
Unit cell a=9.1090 b=9.1090 c=9.1090 alpha=33.01 beta=33.01 gamma=33.01
Fractional coordinates of all 12 atoms:
K1 0.0000 0.0000 0.0000
As1 0.2419 0.2419 0.2419
As2 0.7581 0.7581 0.7581
Pb1 0.5000 0.5000 0.5000
O1 0.1043 0.4687 0.7645
O2 0.2355 0.5313 0.8957
O3 0.3078 0.3078 0.3078
O4 0.4687 0.7645 0.1043
O5 0.5313 0.8957 0.2355
O6 0.6922 0.6922 0.6922
O7 0.7645 0.1043 0.4687
O8 0.8957 0.2355 0.5313

Main lines, by angle (2θ from 10° to 90°):
| two_theta | I_rel |
| --- | --- |
| 10.28 | 57 |
| 20.11 | 26 |
| 24.17 | 100 |
| 31.41 | 12 |
| 34.24 | 30 |
| 34.66 | 37 |
| 42.71 | 20 |
| 49.52 | 12 |
| 55.55 | 18 |
| 56.13 | 19 |



4.
Simulated powder diffraction line list
Compound: RhC4S2
Radiation: copper Kα
Structure: a structure optimized by DFT (GGA-PBE)

Crystal structure
Unit cell a=4.3133 b=4.3133 c=10.4176 alpha=90.00 beta=90.00 gamma=90.00
Fractional coordinates of all 14 atoms:
Rh1 0.0000 0.0000 0.0000
Rh2 0.5000 0.5000 0.5000
C1 0.0000 0.0000 0.1904
C2 0.0000 0.0000 0.8096
C3 0.0000 0.5000 0.0000
C4 0.0000 0.5000 0.5000
C5 0.5000 0.0000 0.0000
C6 0.5000 0.0000 0.5000
C7 0.5000 0.5000 0.3096
C8 0.5000 0.5000 0.6904
S1 0.0000 0.0000 0.3376
S2 0.0000 0.0000 0.6624
S3 0.5000 0.5000 0.1624
S4 0.5000 0.5000 0.8376

Main lines, by angle (2θ from 10° to 90°):
| two_theta | I_rel |
| --- | --- |
| 17.02 | 36 |
| 22.31 | 73 |
| 29.28 | 90 |
| 33.12 | 100 |
| 41.89 | 49 |
| 47.96 | 19 |
| 54.41 | 47 |
| 60.73 | 14 |
| 61.45 | 18 |
| 69.50 | 18 |



Which formula does entry 2 have?
Dy2ZnNi7



Repeat the second record exactly.
Simulated powder diffraction line list
Compound: Dy2ZnNi7
Radiation: copper Kα
Structure: a structure optimized by DFT (GGA-PBE)

Crystal structure
Unit cell a=3.7737 b=3.7737 c=10.4588 alpha=90.00 beta=90.00 gamma=90.00
Fractional coordinates of all 10 atoms:
Dy1 0.0000 0.5000 0.2368
Dy2 0.5000 0.0000 0.7632
Zn1 0.0000 0.0000 0.5000
Ni1 0.0000 0.0000 0.0000
Ni2 0.0000 0.5000 0.6447
Ni3 0.0000 0.5000 0.8617
Ni4 0.5000 0.0000 0.1383
Ni5 0.5000 0.0000 0.3553
Ni6 0.5000 0.5000 0.0000
Ni7 0.5000 0.5000 0.5000

Main lines, by angle (2θ from 10° to 90°):
| two_theta | I_rel |
| --- | --- |
| 25.09 | 9 |
| 33.59 | 17 |
| 35.04 | 56 |
| 37.85 | 100 |
| 48.23 | 44 |
| 49.84 | 33 |
| 61.00 | 22 |
| 70.59 | 13 |
| 71.88 | 21 |
| 83.00 | 19 |